Starting from a cell relaxed with PBE, the XRD peak list of Sc3Be2Ir5 was calculated for Cu Kα, 1.54184 Å.

Structural model:
```
Sc3Be2Ir5
1.0
9.6525 0.0000 0.0000
0.0000 9.6525 0.0000
0.0000 0.0000 3.1464
Sc Be Ir
6 4 10
direct
0.0000 0.0000 0.0000 Sc
0.1763 0.3237 0.0000 Sc
0.3237 0.8237 0.0000 Sc
0.5000 0.5000 0.0000 Sc
0.6763 0.1763 0.0000 Sc
0.8237 0.6763 0.0000 Sc
0.1223 0.6223 0.0000 Be
0.3777 0.1223 0.0000 Be
0.6223 0.8777 0.0000 Be
0.8777 0.3777 0.0000 Be
0.0000 0.5000 0.5000 Ir
0.0701 0.7842 0.5000 Ir
0.2158 0.0701 0.5000 Ir
0.2842 0.5701 0.5000 Ir
0.4299 0.2842 0.5000 Ir
0.5000 0.0000 0.5000 Ir
0.5701 0.7158 0.5000 Ir
0.7158 0.4299 0.5000 Ir
0.7842 0.9299 0.5000 Ir
0.9299 0.2158 0.5000 Ir
```

Most intense lines, 2θ from 10° to 90°, by angle:
| 2theta | Rel. int. |
| --- | --- |
| 28.4 | 99 |
| 29.3 | 46 |
| 33.5 | 54 |
| 35.3 | 53 |
| 38.5 | 89 |
| 41.2 | 100 |
| 41.9 | 49 |
| 44.4 | 63 |
| 48.5 | 50 |
| 76.0 | 46 |